# K2Zr3PbS8
Simulated X-ray diffraction stick pattern, a wavelength of 1.5418 Å. Input: a DFT-relaxed cell (PBE, Alexandria).

Peak list (10 most intense, 2θ = 15–90°, low angle first)
two_theta, Rel. int., hkl
15.35, 47, 0 1 2
20.22, 83, 1 0 4
23.23, 91, 0 1 5
25.91, 100, 1 1 3
27.15, 69, 0 2 1
30.98, 33, 0 2 4
38.20, 59, 0 2 7
40.81, 50, 1 2 5
41.11, 59, 2 0 8
47.47, 76, 2 2 0

Cell and atoms:
a b c (Å): 7.6619 7.6619 23.4285
angles (deg): 90.00 90.00 120.00
Space group R3m (No. 160, hexagonal axes)
Asymmetric unit:
1 K 0.0000 0.0000 0.0000 (multiplicity 3)
2 K 0.0000 0.0000 0.3540 (multiplicity 3)
3 Zr 0.0059 0.5030 0.8610 (multiplicity 9)
4 Pb 0.0000 0.0000 0.7462 (multiplicity 3)
5 S 0.0000 0.0000 0.1308 (multiplicity 3)
6 S 0.0000 0.0000 0.5860 (multiplicity 3)
7 S 0.0309 0.5154 0.1279 (multiplicity 9)
8 S 0.1749 0.3498 0.9168 (multiplicity 9)